# LiTm2TeS3
Theoretical XRD peak list, CuKα. Input: a DFT-relaxed cell (PBE, Alexandria).
Lines closer than 0.1° are merged.

abc: 7.9275 7.9275 19.6724
angles: 90.00 90.00 120.00
Space group R-3m (No. 166, hexagonal axes)
One atom of each set of equivalent atoms:
Li 0.0000 0.0000 0.0892 [6 per cell]
Tm 0.0000 0.0000 0.5000 [3 per cell]
Tm 0.0000 0.5000 0.0000 [9 per cell]
Te 0.0000 0.0000 0.2324 [6 per cell]
S 0.0264 0.5132 0.2554 [18 per cell]

Largest 10 diffraction maxima, sorted by position, 2θ = 15–90°:
| d_spacing | I/Imax | hkl |
| --- | --- | --- |
| 5.630 | 13 | 0 1 2 |
| 3.389 | 68 | 1 1 3 |
| 2.815 | 100 | 0 2 4 |
| 2.601 | 18 | 1 0 7 |
| 2.161 | 15 | 0 3 3 |
| 1.999 | 32 | 2 0 8 |
| 1.982 | 38 | 2 2 0 |
| 1.906 | 18 | 2 1 7 |
| 1.621 | 18 | 4 0 4 |
| 1.255 | 15 | 2 4 4 |